For TbSc2Ni2, the GGA-PBE geometry in Alexandria gives the computed powder diffractogram in this record (Cu Kα (weighted mean of Kα1 and Kα2)).
No peak broadening, texture or thermal motion is included.

Largest 12 diffraction maxima, by intensity, 5° ≤ 2θ ≤ 70°:
2θ = 34.2°, d = 2.623 Å, I 1000
2θ = 33.3°, d = 2.693 Å, I 418
2θ = 17.2°, d = 5.163 Å, I 233
2θ = 44.5°, d = 2.037 Å, I 180
2θ = 40.9°, d = 2.206 Å, I 128
2θ = 50.9°, d = 1.794 Å, I 125
2θ = 42.2°, d = 2.143 Å, I 109
2θ = 62.8°, d = 1.480 Å, I 102
2θ = 48.3°, d = 1.884 Å, I 102
2θ = 24.9°, d = 3.578 Å, I 100
2θ = 50.0°, d = 1.825 Å, I 99
2θ = 29.6°, d = 3.022 Å, I 98

Crystal structure
```
data_TbSc2Ni2
_chemical_formula_sum 'Tb4 Sc8 Ni8'
_space_group_name_H-M_alt 'C m c 21'
_space_group_IT_number 36
_cell_length_a 3.5870
_cell_length_b 12.9132
_cell_length_c 8.5969
_cell_angle_alpha 90.00
_cell_angle_beta 90.00
_cell_angle_gamma 90.00
loop_
_space_group_symop_operation_xyz
'x,y,z'
'-x,-y,z+1/2'
'-x,y,z'
'x,-y,z+1/2'
'x+1/2,y+1/2,z'
'-x+1/2,-y+1/2,z+1/2'
'-x+1/2,y+1/2,z'
'x+1/2,-y+1/2,z+1/2'
loop_
_atom_site_label
_atom_site_fract_x
_atom_site_fract_y
_atom_site_fract_z
Tb1 0.0000 0.0892 0.0000
Sc1 0.0000 0.1855 0.6331
Sc2 0.0000 0.3860 0.8478
Ni1 0.0000 0.2633 0.3411
Ni2 0.0000 0.4518 0.1802
```

=====

For Ca3Mg2Cu, the GGA-PBE geometry in Alexandria gives the computed powder diffractogram in this record (Cu Kα (weighted mean of Kα1 and Kα2)).
No peak broadening, texture or thermal motion is included.

Largest 12 diffraction maxima, by intensity, 5° ≤ 2θ ≤ 70°:
2θ = 32.7°, d = 2.738 Å, I 1000
2θ = 28.9°, d = 3.087 Å, I 491
2θ = 31.7°, d = 2.823 Å, I 398
2θ = 27.4°, d = 3.256 Å, I 342
2θ = 37.3°, d = 2.411 Å, I 313
2θ = 18.3°, d = 4.840 Å, I 304
2θ = 37.1°, d = 2.426 Å, I 291
2θ = 34.5°, d = 2.598 Å, I 266
2θ = 51.9°, d = 1.762 Å, I 244
2θ = 56.5°, d = 1.628 Å, I 235
2θ = 37.7°, d = 2.386 Å, I 182
2θ = 20.8°, d = 4.275 Å, I 164

Crystal structure
```
data_Ca3Mg2Cu
_chemical_formula_sum 'Ca12 Mg8 Cu4'
_space_group_name_H-M_alt 'C m c m'
_space_group_IT_number 63
_space_group_name_Hall '-C 2c 2'
_cell_length_a 9.3943
_cell_length_b 11.3349
_cell_length_c 6.5120
_cell_angle_alpha 90.00
_cell_angle_beta 90.00
_cell_angle_gamma 90.00
loop_
_atom_site_label
_atom_site_fract_x
_atom_site_fract_y
_atom_site_fract_z
Ca1 0.0000 0.0823 0.2500
Ca2 0.1827 0.2286 0.7500
Mg1 0.1589 0.5000 0.0000
Cu1 0.0000 0.3480 0.2500
```

=====

For InCl5, the GGA-PBE geometry in Alexandria gives the computed powder diffractogram in this record (Cu Kα (weighted mean of Kα1 and Kα2)).
No peak broadening, texture or thermal motion is included.

Largest 12 diffraction maxima, by intensity, 5° ≤ 2θ ≤ 70°:
2θ = 8.1°, d = 10.947 Å, I 1000
2θ = 19.1°, d = 4.654 Å, I 609
2θ = 16.2°, d = 5.473 Å, I 321
2θ = 26.9°, d = 3.314 Å, I 183
2θ = 34.9°, d = 2.571 Å, I 167
2θ = 35.9°, d = 2.503 Å, I 142
2θ = 37.2°, d = 2.417 Å, I 134
2θ = 51.9°, d = 1.760 Å, I 126
2θ = 44.6°, d = 2.030 Å, I 120
2θ = 36.3°, d = 2.478 Å, I 110
2θ = 24.1°, d = 3.700 Å, I 107
2θ = 31.2°, d = 2.865 Å, I 98

Crystal structure
```
data_InCl5
_chemical_formula_sum 'In1 Cl5'
_space_group_name_H-M_alt 'P 1 m 1'
_space_group_IT_number 6
_cell_length_a 3.7456
_cell_length_b 5.1423
_cell_length_c 11.0819
_cell_angle_alpha 90.00
_cell_angle_beta 98.95
_cell_angle_gamma 90.00
loop_
_space_group_symop_operation_xyz
'x,y,z'
'x,-y,z'
loop_
_atom_site_label
_atom_site_fract_x
_atom_site_fract_y
_atom_site_fract_z
In1 0.0000 0.0000 0.0000
Cl1 0.1274 0.5000 0.5863
Cl2 0.4266 0.0000 0.8408
Cl3 0.5723 0.0000 0.1591
Cl4 0.9147 0.5000 0.4099
Cl5 0.9961 0.5000 0.0001
```

=====

For La5Ga4, the GGA-PBE geometry in Alexandria gives the computed powder diffractogram in this record (Cu Kα (weighted mean of Kα1 and Kα2)).
No peak broadening, texture or thermal motion is included.

Largest 12 diffraction maxima, by intensity, 5° ≤ 2θ ≤ 70°:
2θ = 30.3°, d = 2.947 Å, I 1000
2θ = 34.5°, d = 2.599 Å, I 270
2θ = 38.0°, d = 2.371 Å, I 264
2θ = 31.6°, d = 2.836 Å, I 216
2θ = 25.5°, d = 3.489 Å, I 173
2θ = 32.2°, d = 2.781 Å, I 144
2θ = 61.1°, d = 1.516 Å, I 118
2θ = 63.9°, d = 1.457 Å, I 117
2θ = 36.9°, d = 2.435 Å, I 104
2θ = 59.2°, d = 1.561 Å, I 102
2θ = 40.4°, d = 2.233 Å, I 97
2θ = 47.2°, d = 1.927 Å, I 94

Crystal structure
```
data_La5Ga4
_chemical_formula_sum 'La10 Ga8'
_space_group_name_H-M_alt 'C 1 2/m 1'
_space_group_IT_number 12
_cell_length_a 11.3240
_cell_length_b 4.7418
_cell_length_c 10.7090
_cell_angle_alpha 90.00
_cell_angle_beta 115.88
_cell_angle_gamma 90.00
loop_
_space_group_symop_operation_xyz
'x,y,z'
'-x,-y,-z'
'-x,y,-z'
'x,-y,z'
'x+1/2,y+1/2,z'
'-x+1/2,-y+1/2,-z'
'-x+1/2,y+1/2,-z'
'x+1/2,-y+1/2,z'
loop_
_atom_site_label
_atom_site_fract_x
_atom_site_fract_y
_atom_site_fract_z
La1 0.0000 0.0000 0.0000
La2 0.1112 0.0000 0.4064
La3 0.2395 0.0000 0.8299
Ga1 0.0399 0.5000 0.8254
Ga2 0.1091 0.5000 0.6186
```

=====

For Tl2TeO4, the GGA-PBE geometry in Alexandria gives the computed powder diffractogram in this record (Cu Kα (weighted mean of Kα1 and Kα2)).
No peak broadening, texture or thermal motion is included.

Largest 12 diffraction maxima, by intensity, 5° ≤ 2θ ≤ 70°:
2θ = 27.0°, d = 3.306 Å, I 1000
2θ = 24.6°, d = 3.622 Å, I 472
2θ = 38.8°, d = 2.320 Å, I 282
2θ = 25.6°, d = 3.478 Å, I 279
2θ = 28.7°, d = 3.113 Å, I 231
2θ = 19.1°, d = 4.639 Å, I 173
2θ = 43.0°, d = 2.105 Å, I 164
2θ = 49.8°, d = 1.832 Å, I 131
2θ = 51.5°, d = 1.776 Å, I 118
2θ = 41.6°, d = 2.173 Å, I 116
2θ = 28.9°, d = 3.091 Å, I 113
2θ = 44.5°, d = 2.037 Å, I 107

Crystal structure
```
data_Tl2TeO4
_chemical_formula_sum 'Tl8 Te4 O16'
_space_group_name_H-M_alt 'P n m a'
_space_group_IT_number 62
_cell_length_a 13.3617
_cell_length_b 8.1483
_cell_length_c 6.2256
_cell_angle_alpha 90.00
_cell_angle_beta 90.00
_cell_angle_gamma 90.00
loop_
_space_group_symop_operation_xyz
'x,y,z'
'-x,-y,-z'
'-x+1/2,-y,z+1/2'
'x+1/2,y,-z+1/2'
'x+1/2,-y+1/2,-z+1/2'
'-x+1/2,y+1/2,z+1/2'
'-x,y+1/2,-z'
'x,-y+1/2,z'
loop_
_atom_site_label
_atom_site_fract_x
_atom_site_fract_y
_atom_site_fract_z
Tl1 0.0000 0.0000 0.0000
Tl2 0.2131 0.2500 0.4953
Te1 0.0994 0.7500 0.4430
O1 0.0287 0.2500 0.6757
O2 0.0921 0.7500 0.7406
O3 0.1644 0.5667 0.3353
```

=====

For Sn4BRh6, the GGA-PBE geometry in Alexandria gives the computed powder diffractogram in this record (Cu Kα (weighted mean of Kα1 and Kα2)).
No peak broadening, texture or thermal motion is included.

Largest 12 diffraction maxima, by intensity, 5° ≤ 2θ ≤ 70°:
2θ = 41.7°, d = 2.168 Å, I 1000
2θ = 38.9°, d = 2.313 Å, I 411
2θ = 65.9°, d = 1.417 Å, I 235
2θ = 37.2°, d = 2.417 Å, I 165
2θ = 41.1°, d = 2.195 Å, I 143
2θ = 36.6°, d = 2.454 Å, I 135
2θ = 19.2°, d = 4.628 Å, I 128
2θ = 31.6°, d = 2.834 Å, I 121
2θ = 45.3°, d = 2.004 Å, I 119
2θ = 12.8°, d = 6.940 Å, I 105
2θ = 54.5°, d = 1.683 Å, I 79
2θ = 26.5°, d = 3.367 Å, I 75

Crystal structure
```
data_Sn4BRh6
_chemical_formula_sum 'Sn8 B2 Rh12'
_space_group_name_H-M_alt 'P 63/m m c'
_space_group_IT_number 194
_space_group_name_Hall '-P 6c 2c'
_cell_length_a 5.6683
_cell_length_b 5.6683
_cell_length_c 13.8800
_cell_angle_alpha 90.00
_cell_angle_beta 90.00
_cell_angle_gamma 120.00
loop_
_atom_site_label
_atom_site_fract_x
_atom_site_fract_y
_atom_site_fract_z
Sn1 0.0000 0.0000 0.2500
Sn2 0.3333 0.6667 0.0763
Sn3 0.3333 0.6667 0.7500
B1 0.0000 0.0000 0.0000
Rh1 0.1679 0.3358 0.5935
```